Structure and theoretical XRD peak list of Ca12FeCo7O24 (the PBE+U geometry in Alexandria; CuKα).
Peak positions follow from Bragg's law for the DFT cell and can differ from measured ones.

Largest 12 diffraction maxima, by angle, 15 to 90 degrees two-theta:
(hkl)  2θ (°)  d_spacing  I (rel.)
1 1 -1  19.41  4.573  1000
2 1 1  32.17  2.782  194
0 1 3  32.30  2.772  375
2 0 -2  33.89  2.645  484
1 3 -1  33.99  2.637  937
2 2 2  41.29  2.186  348
2 3 -1  42.02  2.150  321
3 1 1  45.90  1.977  248
0 2 4  46.12  1.968  484
3 2 0  47.40  1.918  200
1 4 2  47.60  1.910  413
1 5 3  62.29  1.491  291

Atomic structure:
```
data_Ca12FeCo7O24
_chemical_formula_sum 'Ca12 Fe1 Co7 O24'
_symmetry_space_group_name_H-M 'P 1 2 1'
_symmetry_Int_Tables_number 3
_symmetry_space_group_name_Hall 'P 2y'
_cell_length_a 6.3535
_cell_length_b 9.1273
_cell_length_c 8.7411
_cell_angle_alpha 90.00
_cell_angle_beta 93.62
_cell_angle_gamma 90.00
loop_
_atom_site_label
_atom_site_type_symbol
_atom_site_fract_x
_atom_site_fract_y
_atom_site_fract_z
Ca1 Ca 0.0000 0.0000 0.0000
Ca2 Ca 0.0000 0.4969 0.5000
Ca3 Ca 0.1312 0.8139 0.6826
Ca4 Ca 0.1334 0.3148 0.1807
Ca5 Ca 0.3671 0.4419 0.8193
Ca6 Ca 0.3678 0.9434 0.3176
Ca7 Ca 0.5000 0.2571 0.5000
Ca8 Ca 0.5000 0.7569 0.0000
Fe1 Fe 0.5000 0.6267 0.5000
Co1 Co 0.0000 0.1343 0.5000
Co2 Co 0.0000 0.6349 0.0000
Co3 Co 0.2497 0.1279 0.7501
Co4 Co 0.2505 0.6274 0.2489
Co5 Co 0.5000 0.1212 0.0000
O1 O 0.0385 0.5635 0.7800
O2 O 0.0400 0.0652 0.2813
O3 O 0.1594 0.7930 0.1242
O4 O 0.1623 0.2921 0.6224
O5 O 0.2056 0.2297 0.9376
O6 O 0.2102 0.7257 0.4413
O7 O 0.2928 0.5279 0.0607
O8 O 0.2938 0.0259 0.5622
O9 O 0.3368 0.9640 0.8781
O10 O 0.3420 0.4621 0.3754
O11 O 0.4605 0.1900 0.2183
O12 O 0.4595 0.6935 0.7228
```